Starting from a crystal structure in Alexandria, relaxed with GGA-PBE, the powder X-ray diffraction pattern of Ac5La3Te8 was simulated for Cu Kα (weighted mean of Kα1 and Kα2).
Intensities are scaled so that the largest is 100.

Structure:
```
data_Ac5La3Te8
_chemical_formula_sum 'Ac15 La9 Te24'
_cell_length_a 9.3518
_cell_length_b 9.3518
_cell_length_c 22.9441
_cell_angle_alpha 90.00
_cell_angle_beta 90.00
_cell_angle_gamma 120.00
_symmetry_space_group_name_H-M 'R -3 m'
_symmetry_Int_Tables_number 166
_symmetry_space_group_name_Hall '-R 3 2"'
loop_
_atom_site_label
_atom_site_fract_x
_atom_site_fract_y
_atom_site_fract_z
_atom_site_occupancy
Ac1 0.0000 0.0000 0.0000 1
Ac2 0.0000 0.0000 0.5000 1
Ac3 0.0000 0.5000 0.0000 1
La1 0.0000 0.5000 0.5000 1
Te1 0.0000 0.0000 0.2468 1
Te2 0.0044 0.5022 0.7522 1
```

Main lines, by intensity (10° ≤ 2θ ≤ 90°):
2θ (°), I/Imax, index
26.95, 100, 0 2 4
38.48, 78, 2 2 0
62.81, 37, 2 4 4
47.61, 28, 4 0 4
69.60, 20, 4 2 8
88.74, 15, 6 2 4
55.56, 13, 0 4 8
23.29, 8, 0 0 6